# 1
Calculated powder diffractogram
Compound: Rb3AuBr6
Radiation: Cu Ka
Structure: a DFT-relaxed cell (PBE, the Materials Project)

Principal peaks in the range 10 to 90 degrees two-theta, in order of falling intensity:
- 2θ 30.29, rel. 100
- 2θ 43.36, rel. 69
- 2θ 21.29, rel. 53
- 2θ 15.01, rel. 50
- 2θ 12.99, rel. 38
- 2θ 26.15, rel. 30
- 2θ 71.48, rel. 26
- 2θ 53.80, rel. 23
- 2θ 33.96, rel. 22
- 2θ 37.32, rel. 21

Cell: 8.347 8.347 8.347 Å, 60.00 60.00 60.00°
Fractional positions:
Rb 0.000 0.000 0.000
Rb 0.250 0.250 0.250
Rb 0.750 0.750 0.750
Au 0.500 0.500 0.500
Br 0.274 0.274 0.726
Br 0.274 0.726 0.274
Br 0.274 0.726 0.726
Br 0.726 0.274 0.274
Br 0.726 0.274 0.726
Br 0.726 0.726 0.274

---

# 2
Calculated powder diffractogram
Compound: Ga2BSb
Radiation: Cu Ka
Structure: a DFT-relaxed cell (PBE, the Materials Project)

Principal peaks in the range 10 to 90 degrees two-theta, in order of falling intensity:
- 2θ 37.99, rel. 100
- 2θ 22.99, rel. 40
- 2θ 68.63, rel. 33
- 2θ 44.87, rel. 21
- 2θ 54.81, rel. 17
- 2θ 81.23, rel. 10
- 2θ 60.21, rel. 9
- 2θ 85.81, rel. 7
- 2θ 73.45, rel. 6

Cell: 6.699 6.699 6.699 Å, 90.00 90.00 90.00°
Fractional positions:
Ga 0.250 0.250 0.250
Ga 0.250 0.250 0.750
Ga 0.250 0.750 0.250
Ga 0.250 0.750 0.750
Ga 0.750 0.250 0.250
Ga 0.750 0.250 0.750
Ga 0.750 0.750 0.250
Ga 0.750 0.750 0.750
B 0.000 0.000 0.000
B 0.000 0.500 0.500
B 0.500 0.000 0.500
B 0.500 0.500 0.000
Sb 0.000 0.000 0.500
Sb 0.000 0.500 0.000
Sb 0.500 0.000 0.000
Sb 0.500 0.500 0.500